No. 1
Starting from DFT lattice parameters and positions (GGA-PBE), the powder XRD pattern of Cs4RbNa4 was simulated for Cu Kα.
Intensities are scaled so that the largest is 100.

Crystal structure
a = 11.2151 Å, b = 11.2151 Å, c = 11.2151 Å
α = 131.29°, β = 131.29°, γ = 71.35°
Positions (direct):
Cs1 0.1551 0.1551 0.5803
Cs2 0.4252 0.8449 0.0000
Cs3 0.5748 0.5748 0.4197
Cs4 0.8449 0.4252 0.0000
Rb1 0.0000 0.0000 0.0000
Na1 0.1106 0.6286 0.0000
Na2 0.3714 0.3714 0.4820
Na3 0.6286 0.1106 0.0000
Na4 0.8894 0.8894 0.5180

Most intense lines, 15 to 90 degrees two-theta, by intensity:
| 2θ (°) | intensity |
| --- | --- |
| 16.69 | 100 |
| 27.48 | 77 |
| 19.19 | 51 |
| 22.03 | 42 |
| 27.27 | 34 |
| 19.49 | 30 |

No. 2
Starting from DFT lattice parameters and positions (GGA-PBE), the powder XRD pattern of CsRb9Na4 was simulated for Cu Kα.
Intensities are scaled so that the largest is 100.

Crystal structure
a = 14.4964 Å, b = 14.4964 Å, c = 14.4964 Å
α = 117.20°, β = 117.20°, γ = 94.92°
Positions (direct):
Cs1 0.2500 0.2500 0.0000
Cs2 0.7500 0.7500 0.0000
Rb1 0.0000 0.5000 0.5000
Rb2 0.0566 0.5566 0.2157
Rb3 0.0630 0.8026 0.8656
Rb4 0.1591 0.9434 0.5000
Rb5 0.1974 0.0630 0.2604
Rb6 0.3026 0.5630 0.8656
Rb7 0.3409 0.8409 0.7843
Rb8 0.4370 0.3026 0.7396
Rb9 0.4434 0.6591 0.5000
Rb10 0.5000 0.0000 0.5000
Rb11 0.5566 0.3409 0.5000
Rb12 0.5630 0.6974 0.2604
Rb13 0.6591 0.1591 0.2157
Rb14 0.6974 0.4370 0.1344
Rb15 0.8026 0.9370 0.7396
Rb16 0.8409 0.0566 0.5000
Rb17 0.9370 0.1974 0.1344
Rb18 0.9434 0.4434 0.7843
Na1 0.0811 0.2310 0.5000
Na2 0.2310 0.7310 0.1499
Na3 0.2690 0.4189 0.5000
Na4 0.4189 0.9189 0.1499
Na5 0.5811 0.0811 0.8501
Na6 0.7310 0.5811 0.5000
Na7 0.7690 0.2690 0.8501
Na8 0.9189 0.7690 0.5000

Most intense lines, 15 to 90 degrees two-theta, by intensity:
| 2θ (°) | intensity |
| --- | --- |
| 20.69 | 100 |
| 26.28 | 43 |
| 25.26 | 32 |
| 18.10 | 27 |
| 18.91 | 25 |
| 27.92 | 21 |

No. 3
Starting from DFT lattice parameters and positions (GGA-PBE), the powder XRD pattern of Cs3Rb12Na was simulated for Cu Kα.
Intensities are scaled so that the largest is 100.

Crystal structure
a = 7.2348 Å, b = 7.2348 Å, c = 27.8722 Å
α = 90.00°, β = 90.00°, γ = 90.00°
Positions (direct):
Cs1 0.0000 0.0000 0.0000
Cs2 0.0000 0.0000 0.2641
Cs3 0.0000 0.0000 0.7359
Rb1 0.0000 0.5000 0.1319
Rb2 0.0000 0.5000 0.3956
Rb3 0.0000 0.5000 0.6044
Rb4 0.0000 0.5000 0.8681
Rb5 0.5000 0.0000 0.1319
Rb6 0.5000 0.0000 0.3956
Rb7 0.5000 0.0000 0.6044
Rb8 0.5000 0.0000 0.8681
Rb9 0.5000 0.5000 0.0000
Rb10 0.5000 0.5000 0.2634
Rb11 0.5000 0.5000 0.5000
Rb12 0.5000 0.5000 0.7366
Na1 0.0000 0.0000 0.5000

Most intense lines, 15 to 90 degrees two-theta, by intensity:
| 2θ (°) | intensity |
| --- | --- |
| 21.55 | 100 |
| 24.61 | 40 |
| 41.55 | 35 |
| 35.78 | 20 |
| 35.08 | 16 |
| 25.57 | 12 |

No. 4
Starting from DFT lattice parameters and positions (GGA-PBE), the powder XRD pattern of Cs3Rb8Na3 was simulated for Cu Kα.
Intensities are scaled so that the largest is 100.

Crystal structure
a = 13.3786 Å, b = 13.3786 Å, c = 13.8911 Å
α = 117.80°, β = 117.80°, γ = 33.18°
Positions (direct):
Cs1 0.0000 0.0000 0.0000
Cs2 0.2793 0.2793 0.2865
Cs3 0.7207 0.7207 0.7135
Rb1 0.1342 0.1342 0.4221
Rb2 0.1441 0.1441 0.8310
Rb3 0.3613 0.3613 0.9533
Rb4 0.4932 0.4932 0.6667
Rb5 0.5068 0.5068 0.3333
Rb6 0.6387 0.6387 0.0467
Rb7 0.8559 0.8559 0.1690
Rb8 0.8658 0.8658 0.5779
Na1 0.0000 0.0000 0.5000
Na2 0.3125 0.3125 0.6319
Na3 0.6875 0.6875 0.3681

Most intense lines, 15 to 90 degrees two-theta, by intensity:
| 2θ (°) | intensity |
| --- | --- |
| 21.46 | 100 |
| 23.29 | 97 |
| 21.00 | 91 |
| 20.38 | 76 |
| 20.53 | 61 |
| 22.49 | 46 |

No. 5
Starting from DFT lattice parameters and positions (GGA-PBE), the powder XRD pattern of Cs7Rb2Na3 was simulated for Cu Kα.
Intensities are scaled so that the largest is 100.

Crystal structure
a = 25.9719 Å, b = 25.9719 Å, c = 5.1648 Å
α = 90.00°, β = 90.00°, γ = 162.01°
Positions (direct):
Cs1 0.0000 0.0000 0.0000
Cs2 0.0927 0.9073 0.5000
Cs3 0.2791 0.7209 0.0000
Cs4 0.4294 0.5706 0.0000
Cs5 0.5706 0.4294 0.0000
Cs6 0.7209 0.2791 0.0000
Cs7 0.9073 0.0927 0.5000
Rb1 0.1720 0.8280 0.0000
Rb2 0.8280 0.1720 0.0000
Na1 0.3546 0.6454 0.5000
Na2 0.5000 0.5000 0.5000
Na3 0.6454 0.3546 0.5000

Most intense lines, 15 to 90 degrees two-theta, by intensity:
| 2θ (°) | intensity |
| --- | --- |
| 23.75 | 100 |
| 21.93 | 87 |
| 22.15 | 34 |
| 41.46 | 32 |
| 16.29 | 30 |
| 39.55 | 26 |

No. 6
Starting from DFT lattice parameters and positions (GGA-PBE), the powder XRD pattern of Cs5Rb3Na6 was simulated for Cu Kα.
Intensities are scaled so that the largest is 100.

Crystal structure
a = 13.0481 Å, b = 13.0481 Å, c = 13.0481 Å
α = 149.85°, β = 101.34°, γ = 86.48°
Positions (direct):
Cs1 0.0000 0.0000 0.0000
Cs2 0.1673 0.3217 0.8457
Cs3 0.4760 0.3217 0.1543
Cs4 0.5240 0.6783 0.8457
Cs5 0.8327 0.6783 0.1543
Rb1 0.1749 0.6749 0.5000
Rb2 0.5000 0.0000 0.5000
Rb3 0.8251 0.3251 0.5000
Na1 0.1350 0.9085 0.2265
Na2 0.1788 0.5000 0.6788
Na3 0.3180 0.0915 0.2265
Na4 0.6820 0.9085 0.7735
Na5 0.8212 0.5000 0.3212
Na6 0.8650 0.0915 0.7735

Most intense lines, 15 to 90 degrees two-theta, by intensity:
| 2θ (°) | intensity |
| --- | --- |
| 19.16 | 100 |
| 21.36 | 50 |
| 20.76 | 48 |
| 22.79 | 46 |
| 26.26 | 38 |
| 37.99 | 33 |

Copy entry 5 word for word.
Starting from DFT lattice parameters and positions (GGA-PBE), the powder XRD pattern of Cs7Rb2Na3 was simulated for Cu Kα.
Intensities are scaled so that the largest is 100.

Crystal structure
a = 25.9719 Å, b = 25.9719 Å, c = 5.1648 Å
α = 90.00°, β = 90.00°, γ = 162.01°
Positions (direct):
Cs1 0.0000 0.0000 0.0000
Cs2 0.0927 0.9073 0.5000
Cs3 0.2791 0.7209 0.0000
Cs4 0.4294 0.5706 0.0000
Cs5 0.5706 0.4294 0.0000
Cs6 0.7209 0.2791 0.0000
Cs7 0.9073 0.0927 0.5000
Rb1 0.1720 0.8280 0.0000
Rb2 0.8280 0.1720 0.0000
Na1 0.3546 0.6454 0.5000
Na2 0.5000 0.5000 0.5000
Na3 0.6454 0.3546 0.5000

Most intense lines, 15 to 90 degrees two-theta, by intensity:
| 2θ (°) | intensity |
| --- | --- |
| 23.75 | 100 |
| 21.93 | 87 |
| 22.15 | 34 |
| 41.46 | 32 |
| 16.29 | 30 |
| 39.55 | 26 |

Copy entry 1 word for word.
Starting from DFT lattice parameters and positions (GGA-PBE), the powder XRD pattern of Cs4RbNa4 was simulated for Cu Kα.
Intensities are scaled so that the largest is 100.

Crystal structure
a = 11.2151 Å, b = 11.2151 Å, c = 11.2151 Å
α = 131.29°, β = 131.29°, γ = 71.35°
Positions (direct):
Cs1 0.1551 0.1551 0.5803
Cs2 0.4252 0.8449 0.0000
Cs3 0.5748 0.5748 0.4197
Cs4 0.8449 0.4252 0.0000
Rb1 0.0000 0.0000 0.0000
Na1 0.1106 0.6286 0.0000
Na2 0.3714 0.3714 0.4820
Na3 0.6286 0.1106 0.0000
Na4 0.8894 0.8894 0.5180

Most intense lines, 15 to 90 degrees two-theta, by intensity:
| 2θ (°) | intensity |
| --- | --- |
| 16.69 | 100 |
| 27.48 | 77 |
| 19.19 | 51 |
| 22.03 | 42 |
| 27.27 | 34 |
| 19.49 | 30 |

> What is the formula in the third record?

Cs3Rb12Na